CdGaF5: theoretical powder diffractogram (Cu Kα X-rays), based on a DFT-relaxed cell (PBE, Alexandria).

Structural model:
```
data_CdGaF5
_chemical_formula_sum 'Cd2 Ga2 F10'
_cell_length_a 3.8504
_cell_length_b 6.5927
_cell_length_c 8.1032
_cell_angle_alpha 90.00
_cell_angle_beta 90.00
_cell_angle_gamma 90.00
_symmetry_space_group_name_H-M 'P 1'
_symmetry_Int_Tables_number 1
_symmetry_space_group_name_Hall 'P 1'
loop_
_atom_site_label
_atom_site_type_symbol
_atom_site_fract_x
_atom_site_fract_y
_atom_site_fract_z
Cd1 Cd 0.0000 0.0000 0.0000
Cd2 Cd 0.5000 0.5000 0.5000
Ga1 Ga 0.0000 0.0000 0.5000
Ga2 Ga 0.5000 0.5000 0.0000
F1 F 0.0000 0.0000 0.2684
F2 F 0.0000 0.0000 0.7316
F3 F 0.0000 0.2940 0.5000
F4 F 0.0000 0.5000 0.0000
F5 F 0.0000 0.7060 0.5000
F6 F 0.5000 0.0000 0.5000
F7 F 0.5000 0.2060 0.0000
F8 F 0.5000 0.5000 0.2316
F9 F 0.5000 0.5000 0.7684
F10 F 0.5000 0.7940 0.0000
```

Peak list (6 most intense, 2θ from 10° to 90°, by intensity)
2theta, d/Å, Rel. int.
26.81, 3.325, 100
21.94, 4.052, 93
27.05, 3.296, 58
34.91, 2.570, 36
53.05, 1.726, 36
47.65, 1.909, 28

---

Cd2GaF: theoretical powder diffractogram (Cu Kα X-rays), based on a DFT-relaxed cell (PBE, Alexandria).

Structural model:
```
data_Cd2GaF
_chemical_formula_sum 'Cd8 Ga4 F4'
_cell_length_a 6.7563
_cell_length_b 6.7563
_cell_length_c 6.7563
_cell_angle_alpha 90.00
_cell_angle_beta 90.00
_cell_angle_gamma 90.00
_symmetry_space_group_name_H-M 'P 1'
_symmetry_Int_Tables_number 1
_symmetry_space_group_name_Hall 'P 1'
loop_
_atom_site_label
_atom_site_type_symbol
_atom_site_fract_x
_atom_site_fract_y
_atom_site_fract_z
Cd1 Cd 0.2500 0.2500 0.2500
Cd2 Cd 0.2500 0.2500 0.7500
Cd3 Cd 0.2500 0.7500 0.2500
Cd4 Cd 0.2500 0.7500 0.7500
Cd5 Cd 0.7500 0.2500 0.2500
Cd6 Cd 0.7500 0.2500 0.7500
Cd7 Cd 0.7500 0.7500 0.2500
Cd8 Cd 0.7500 0.7500 0.7500
Ga1 Ga 0.0000 0.0000 0.0000
Ga2 Ga 0.0000 0.5000 0.5000
Ga3 Ga 0.5000 0.0000 0.5000
Ga4 Ga 0.5000 0.5000 0.0000
F1 F 0.0000 0.0000 0.5000
F2 F 0.0000 0.5000 0.0000
F3 F 0.5000 0.0000 0.0000
F4 F 0.5000 0.5000 0.5000
```

Peak list (6 most intense, 2θ from 10° to 90°, by intensity)
2theta, d/Å, Rel. int.
37.66, 2.389, 100
67.97, 1.379, 32
26.38, 3.378, 23
54.31, 1.689, 16
80.40, 1.194, 10
61.37, 1.511, 8

---

CdGaF4: theoretical powder diffractogram (Cu Kα X-rays), based on a DFT-relaxed cell (PBE, Alexandria).

Structural model:
```
data_CdGaF4
_chemical_formula_sum 'Cd1 Ga1 F4'
_cell_length_a 4.7498
_cell_length_b 3.0494
_cell_length_c 6.6625
_cell_angle_alpha 90.00
_cell_angle_beta 103.10
_cell_angle_gamma 90.00
_symmetry_space_group_name_H-M 'P 1'
_symmetry_Int_Tables_number 1
_symmetry_space_group_name_Hall 'P 1'
loop_
_atom_site_label
_atom_site_type_symbol
_atom_site_fract_x
_atom_site_fract_y
_atom_site_fract_z
Cd1 Cd 0.0000 0.0000 0.0000
Ga1 Ga 0.0000 0.5000 0.5000
F1 F 0.2118 0.0000 0.4122
F2 F 0.2350 0.5000 0.7672
F3 F 0.7650 0.5000 0.2328
F4 F 0.7882 0.0000 0.5878
```

Peak list (6 most intense, 2θ from 10° to 90°, by intensity)
2theta, d/Å, Rel. int.
19.19, 4.626, 100
36.26, 2.478, 56
32.44, 2.760, 30
27.49, 3.245, 28
37.28, 2.412, 24
48.88, 1.863, 22

---

Li2CdGaF8: theoretical powder diffractogram (Cu Kα X-rays), based on a DFT-relaxed cell (PBE, Alexandria).

Structural model:
```
data_Li2CdGaF8
_chemical_formula_sum 'Li2 Cd1 Ga1 F8'
_cell_length_a 5.7853
_cell_length_b 5.7853
_cell_length_c 5.7853
_cell_angle_alpha 112.07
_cell_angle_beta 112.07
_cell_angle_gamma 104.39
_symmetry_space_group_name_H-M 'P 1'
_symmetry_Int_Tables_number 1
_symmetry_space_group_name_Hall 'P 1'
loop_
_atom_site_label
_atom_site_type_symbol
_atom_site_fract_x
_atom_site_fract_y
_atom_site_fract_z
Li1 Li 0.0000 0.0000 0.0000
Li2 Li 0.7500 0.2500 0.5000
Cd1 Cd 0.5000 0.5000 0.0000
Ga1 Ga 0.2500 0.7500 0.5000
F1 F 0.0221 0.8082 0.2139
F2 F 0.1352 0.4577 0.6775
F3 F 0.1918 0.4057 0.2139
F4 F 0.1918 0.9779 0.7861
F5 F 0.5423 0.2197 0.6775
F6 F 0.5423 0.8648 0.3225
F7 F 0.5943 0.8082 0.7861
F8 F 0.7803 0.4577 0.3225
```

Peak list (6 most intense, 2θ from 10° to 90°, by intensity)
2theta, d/Å, Rel. int.
18.57, 4.778, 100
27.60, 3.232, 46
51.60, 1.771, 39
31.94, 2.802, 32
40.63, 2.220, 29
43.92, 2.062, 25

---

TlCdGa2F8: theoretical powder diffractogram (Cu Kα X-rays), based on a DFT-relaxed cell (PBE, Alexandria).

Structural model:
```
data_TlCdGa2F8
_chemical_formula_sum 'Tl1 Cd1 Ga2 F8'
_cell_length_a 8.4964
_cell_length_b 8.4964
_cell_length_c 8.4964
_cell_angle_alpha 38.78
_cell_angle_beta 38.78
_cell_angle_gamma 38.78
_symmetry_space_group_name_H-M 'P 1'
_symmetry_Int_Tables_number 1
_symmetry_space_group_name_Hall 'P 1'
loop_
_atom_site_label
_atom_site_type_symbol
_atom_site_fract_x
_atom_site_fract_y
_atom_site_fract_z
Tl1 Tl 0.0000 0.0000 0.0000
Cd1 Cd 0.5000 0.5000 0.5000
Ga1 Ga 0.2470 0.2470 0.2470
Ga2 Ga 0.7530 0.7530 0.7530
F1 F 0.0810 0.7852 0.4589
F2 F 0.2148 0.5411 0.9190
F3 F 0.3240 0.3240 0.3240
F4 F 0.4589 0.0810 0.7852
F5 F 0.5411 0.9190 0.2148
F6 F 0.6760 0.6760 0.6760
F7 F 0.7852 0.4589 0.0810
F8 F 0.9190 0.2148 0.5411
```

Peak list (6 most intense, 2θ from 10° to 90°, by intensity)
2theta, d/Å, Rel. int.
23.67, 3.759, 100
31.72, 2.821, 45
35.62, 2.521, 32
39.96, 2.256, 24
51.89, 1.762, 23
57.19, 1.611, 22

---

GdTi2CdO6F: theoretical powder diffractogram (Cu Kα X-rays), based on a DFT-relaxed cell (PBE, Alexandria).

Structural model:
```
data_GdTi2CdO6F
_chemical_formula_sum 'Gd2 Ti4 Cd2 O12 F2'
_cell_length_a 7.2459
_cell_length_b 7.2459
_cell_length_c 7.2459
_cell_angle_alpha 121.49
_cell_angle_beta 117.23
_cell_angle_gamma 91.15
_symmetry_space_group_name_H-M 'P 1'
_symmetry_Int_Tables_number 1
_symmetry_space_group_name_Hall 'P 1'
loop_
_atom_site_label
_atom_site_type_symbol
_atom_site_fract_x
_atom_site_fract_y
_atom_site_fract_z
Gd1 Gd 0.0000 0.0000 0.0000
Gd2 Gd 0.5000 0.0000 0.5000
Ti1 Ti 0.0000 0.5000 0.5000
Ti2 Ti 0.5000 0.0000 0.0000
Ti3 Ti 0.5000 0.5000 0.0000
Ti4 Ti 0.5000 0.5000 0.5000
Cd1 Cd 0.0000 0.0000 0.5000
Cd2 Cd 0.0000 0.5000 0.0000
O1 O 0.1591 0.4091 0.7500
O2 O 0.1779 0.4149 0.3509
O3 O 0.1779 0.8269 0.7630
O4 O 0.4173 0.1673 0.2500
O5 O 0.4360 0.1731 0.8509
O6 O 0.4360 0.5851 0.2630
O7 O 0.5640 0.4149 0.7370
O8 O 0.5640 0.8269 0.1491
O9 O 0.5827 0.8327 0.7500
O10 O 0.8221 0.1731 0.2370
O11 O 0.8221 0.5851 0.6491
O12 O 0.8409 0.5909 0.2500
F1 F 0.1334 0.8834 0.2500
F2 F 0.8666 0.1166 0.7500
```

Peak list (6 most intense, 2θ from 10° to 90°, by intensity)
2theta, d/Å, Rel. int.
29.50, 3.028, 100
30.80, 2.903, 87
50.44, 1.809, 61
15.26, 5.807, 35
34.74, 2.582, 34
58.33, 1.582, 27

---

CdGeF4: theoretical powder diffractogram (Cu Kα X-rays), based on a DFT-relaxed cell (PBE, Alexandria).

Structural model:
```
data_CdGeF4
_chemical_formula_sum 'Cd4 Ge4 F16'
_cell_length_a 5.6068
_cell_length_b 8.7681
_cell_length_c 9.9073
_cell_angle_alpha 90.00
_cell_angle_beta 123.37
_cell_angle_gamma 90.00
_symmetry_space_group_name_H-M 'P 1'
_symmetry_Int_Tables_number 1
_symmetry_space_group_name_Hall 'P 1'
loop_
_atom_site_label
_atom_site_type_symbol
_atom_site_fract_x
_atom_site_fract_y
_atom_site_fract_z
Cd1 Cd 0.1294 0.0629 0.3926
Cd2 Cd 0.1294 0.4371 0.8926
Cd3 Cd 0.8706 0.5629 0.1074
Cd4 Cd 0.8706 0.9371 0.6074
Ge1 Ge 0.3369 0.6298 0.5672
Ge2 Ge 0.3369 0.8702 0.0672
Ge3 Ge 0.6631 0.1298 0.9328
Ge4 Ge 0.6631 0.3702 0.4328
F1 F 0.0281 0.1070 0.1441
F2 F 0.0281 0.3930 0.6441
F3 F 0.1463 0.7202 0.6540
F4 F 0.1463 0.7798 0.1540
F5 F 0.2291 0.0779 0.6438
F6 F 0.2291 0.4221 0.1438
F7 F 0.4227 0.6632 0.0134
F8 F 0.4227 0.8368 0.5134
F9 F 0.5773 0.1632 0.4866
F10 F 0.5773 0.3368 0.9866
F11 F 0.7709 0.5779 0.8562
F12 F 0.7709 0.9221 0.3562
F13 F 0.8537 0.2202 0.8460
F14 F 0.8537 0.2798 0.3460
F15 F 0.9719 0.6070 0.3559
F16 F 0.9719 0.8930 0.8559
```

Peak list (6 most intense, 2θ from 10° to 90°, by intensity)
2theta, d/Å, Rel. int.
25.80, 3.453, 100
28.92, 3.088, 40
28.45, 3.137, 39
23.78, 3.741, 31
14.72, 6.018, 27
31.93, 2.803, 22

---

CdHg2GeF6: theoretical powder diffractogram (Cu Kα X-rays), based on a DFT-relaxed cell (PBE, Alexandria).

Structural model:
```
data_CdHg2GeF6
_chemical_formula_sum 'Cd1 Hg2 Ge1 F6'
_cell_length_a 5.2572
_cell_length_b 5.9596
_cell_length_c 6.6587
_cell_angle_alpha 116.44
_cell_angle_beta 90.22
_cell_angle_gamma 90.03
_symmetry_space_group_name_H-M 'P 1'
_symmetry_Int_Tables_number 1
_symmetry_space_group_name_Hall 'P 1'
loop_
_atom_site_label
_atom_site_type_symbol
_atom_site_fract_x
_atom_site_fract_y
_atom_site_fract_z
Cd1 Cd 0.0000 0.0000 0.0000
Hg1 Hg 0.1778 0.7801 0.5615
Hg2 Hg 0.8222 0.2199 0.4385
Ge1 Ge 0.5000 0.5000 0.0000
F1 F 0.2826 0.7749 0.1159
F2 F 0.2900 0.3350 0.1160
F3 F 0.3288 0.3676 0.7385
F4 F 0.6712 0.6324 0.2615
F5 F 0.7100 0.6650 0.8840
F6 F 0.7174 0.2251 0.8841
```

Peak list (6 most intense, 2θ from 10° to 90°, by intensity)
2theta, d/Å, Rel. int.
23.79, 3.740, 100
29.98, 2.980, 43
31.92, 2.804, 22
34.54, 2.597, 21
38.18, 2.357, 20
44.47, 2.037, 19